For TbAg2SO6, a structure optimized by DFT (GGA-PBE) gives the computed PXRD pattern in this record (λ = 1.5418 Å (Cu Kα)).
Intensities are scaled so that the largest is 100.

The 10 most intense peaks (2θ from 10° to 90°), most intense first:
2θ 23.6, rel. 100.0, hkl 1 0 1; 2θ 30.7, rel. 85.7, hkl 1 1 0; 2θ 44.5, rel. 69.8, hkl 1 1 2; 2θ 39.1, rel. 41.4, hkl 0 2 1; 2θ 50.5, rel. 33.4, hkl 1 2 1; 2θ 17.6, rel. 33.3, hkl 1 0 0; 2θ 64.4, rel. 23.4, hkl 3 0 2; 2θ 15.6, rel. 22.7, hkl 0 0 1; 2θ 31.4, rel. 21.0, hkl 0 0 2; 2θ 51.5, rel. 19.2, hkl 1 0 3

Lattice parameters (Å, degrees): 5.820 5.820 5.689 90.00 90.00 120.00
Fractional coordinates of all 10 atoms:
Tb: 0.000 0.000 0.000
Ag: 0.333 0.667 0.517
Ag: 0.667 0.333 0.483
S: 0.000 0.000 0.500
O: 0.136 0.271 0.323
O: 0.136 0.864 0.323
O: 0.271 0.136 0.677
O: 0.729 0.864 0.323
O: 0.864 0.136 0.677
O: 0.864 0.729 0.677